Record 1
Starting from a DFT-relaxed cell (PBE, Alexandria), the X-ray powder pattern of CdH6CN3Cl3 was computed for Cu Kα (λ = 1.5418 Å).

Main lines, sorted by position (10° ≤ 2θ ≤ 80°):
2θ 11.79, rel. 100
2θ 20.50, rel. 20
2θ 23.71, rel. 7
2θ 27.14, rel. 18
2θ 28.81, rel. 14
2θ 33.49, rel. 13
2θ 35.62, rel. 18
2θ 41.45, rel. 22
2θ 44.98, rel. 10
2θ 53.15, rel. 6

Cell and atoms:
Cell: 8.6762 6.8039 17.3002 Å, 90.00 119.94 90.00°
Atoms (fractional coordinates):
Cd 0.0005 0.0196 0.2506
Cd 0.0005 0.4804 0.7506
Cd 0.9995 0.5196 0.2494
Cd 0.9995 0.9804 0.7494
H 0.0856 0.7412 0.5717
H 0.0857 0.7471 0.9713
H 0.0857 0.7529 0.4713
H 0.0856 0.7588 0.0717
H 0.3591 0.7291 0.7086
H 0.3591 0.7470 0.9710
H 0.3591 0.7530 0.4710
H 0.3591 0.7709 0.2086
H 0.4406 0.2291 0.7915
H 0.4406 0.2410 0.9287
H 0.4406 0.2590 0.4287
H 0.4406 0.2709 0.2915
H 0.5594 0.7291 0.7085
H 0.5594 0.7410 0.5713
H 0.5594 0.7590 0.0713
H 0.5594 0.7709 0.2085
H 0.6409 0.2291 0.7914
H 0.6409 0.2470 0.5290
H 0.6409 0.2530 0.0290
H 0.6409 0.2709 0.2914
H 0.9144 0.2412 0.9283
H 0.9143 0.2471 0.5287
H 0.9143 0.2529 0.0287
H 0.9144 0.2588 0.4283
C 0.3347 0.7406 0.5837
C 0.3347 0.7594 0.0837
C 0.6653 0.2406 0.9163
C 0.6653 0.2594 0.4163
N 0.1568 0.7460 0.5393
N 0.1568 0.7540 0.0393
N 0.4237 0.7299 0.6729
N 0.4237 0.7458 0.5390
N 0.4237 0.7542 0.0390
N 0.4237 0.7701 0.1729
N 0.5763 0.2299 0.8271
N 0.5763 0.2458 0.9610
N 0.5763 0.2542 0.4610
N 0.5763 0.2701 0.3271
N 0.8432 0.2460 0.9607
N 0.8432 0.2540 0.4607
Cl 0.1373 0.2297 0.8878
Cl 0.1371 0.2307 0.6808
Cl 0.1371 0.2693 0.1808
Cl 0.1373 0.2703 0.3878
Cl 0.2751 0.7307 0.8189
Cl 0.2751 0.7693 0.3189
Cl 0.7249 0.2307 0.6811
Cl 0.7249 0.2693 0.1811
Cl 0.8627 0.7297 0.6122
Cl 0.8629 0.7307 0.8192
Cl 0.8629 0.7693 0.3192
Cl 0.8627 0.7703 0.1122

***

Record 2
Starting from a DFT-relaxed cell (PBE, Alexandria), the X-ray powder pattern of CdH12C2N2Cl4 was computed for Cu Kα (λ = 1.5418 Å).

Main lines, sorted by position (10° ≤ 2θ ≤ 80°):
2θ 17.12, rel. 100
2θ 21.38, rel. 48
2θ 23.06, rel. 27
2θ 33.38, rel. 50
2θ 34.64, rel. 37
2θ 36.04, rel. 31
2θ 37.25, rel. 20
2θ 38.21, rel. 19
2θ 43.57, rel. 23
2θ 50.30, rel. 21

Cell and atoms:
Cell: 10.5767 10.5767 7.4750 Å, 90.00 90.00 137.22°
Atoms (fractional coordinates):
Cd 0.0000 0.0000 0.0000
Cd 0.5000 0.5000 0.5000
H 0.0205 0.1940 0.5377
H 0.0936 0.6743 0.4944
H 0.1116 0.8884 0.6511
H 0.1743 0.5936 0.9944
H 0.1834 0.8166 0.2979
H 0.1940 0.0205 0.4623
H 0.3060 0.4795 0.9623
H 0.3166 0.6834 0.7979
H 0.3257 0.9064 0.4944
H 0.3884 0.6116 0.1511
H 0.4064 0.8257 0.9944
H 0.4795 0.3060 0.0377
H 0.5205 0.6940 0.9623
H 0.5936 0.1743 0.0056
H 0.6116 0.3884 0.8489
H 0.6743 0.0936 0.5056
H 0.6834 0.3166 0.2021
H 0.6940 0.5205 0.0377
H 0.8060 0.9795 0.5377
H 0.8166 0.1834 0.7021
H 0.8257 0.4064 0.0056
H 0.8884 0.1116 0.3489
H 0.9064 0.3257 0.5056
H 0.9795 0.8060 0.4623
C 0.1840 0.8160 0.4444
C 0.3160 0.6840 0.9444
C 0.6840 0.3160 0.0556
C 0.8160 0.1840 0.5556
N 0.1128 0.8872 0.5106
N 0.3872 0.6128 0.0106
N 0.6128 0.3872 0.9894
N 0.8872 0.1128 0.4894
Cl 0.1273 0.8727 0.9328
Cl 0.2267 0.2733 0.7500
Cl 0.2733 0.2267 0.2500
Cl 0.3727 0.6273 0.4328
Cl 0.6273 0.3727 0.5672
Cl 0.7267 0.7733 0.7500
Cl 0.7733 0.7267 0.2500
Cl 0.8727 0.1273 0.0672

***

Record 3
Starting from a DFT-relaxed cell (PBE, Alexandria), the X-ray powder pattern of CdH8C2NCl3 was computed for Cu Kα (λ = 1.5418 Å).

Main lines, sorted by position (10° ≤ 2θ ≤ 80°):
2θ 11.74, rel. 100
2θ 13.33, rel. 29
2θ 19.39, rel. 12
2θ 22.30, rel. 17
2θ 29.27, rel. 8
2θ 30.01, rel. 15
2θ 32.39, rel. 8
2θ 33.30, rel. 17
2θ 35.78, rel. 10
2θ 38.23, rel. 9

Cell and atoms:
Cell: 9.3947 13.2856 6.8486 Å, 90.00 102.94 90.00°
Atoms (fractional coordinates):
Cd 0.2009 0.2463 0.4811
Cd 0.2009 0.2537 0.9811
Cd 0.7991 0.7463 0.0189
Cd 0.7991 0.7537 0.5189
H 0.1306 0.5491 0.9020
H 0.1306 0.9509 0.4020
H 0.1541 0.5629 0.5577
H 0.1541 0.9371 0.0577
H 0.1794 0.6729 0.8371
H 0.1794 0.8271 0.3371
H 0.2716 0.0218 0.1896
H 0.2716 0.4782 0.6896
H 0.3170 0.5904 0.9786
H 0.3170 0.9096 0.4786
H 0.3477 0.6873 0.5958
H 0.3477 0.8127 0.0958
H 0.3811 0.5759 0.4648
H 0.3811 0.9241 0.9648
H 0.4711 0.5937 0.7231
H 0.4711 0.9063 0.2231
H 0.5289 0.0937 0.7769
H 0.5289 0.4063 0.2769
H 0.6189 0.0759 0.0352
H 0.6189 0.4241 0.5352
H 0.6523 0.1873 0.9042
H 0.6523 0.3127 0.4042
H 0.6830 0.0904 0.5214
H 0.6830 0.4096 0.0214
H 0.7284 0.5218 0.3104
H 0.7284 0.9782 0.8104
H 0.8206 0.1729 0.6629
H 0.8206 0.3271 0.1629
H 0.8459 0.0629 0.9423
H 0.8459 0.4371 0.4423
H 0.8694 0.0491 0.5980
H 0.8694 0.4509 0.0980
C 0.2165 0.5947 0.8614
C 0.2165 0.9053 0.3614
C 0.3706 0.6065 0.6093
C 0.3706 0.8935 0.1093
C 0.6294 0.1065 0.8907
C 0.6294 0.3935 0.3907
C 0.7835 0.0947 0.6386
C 0.7835 0.4053 0.1386
N 0.2471 0.5548 0.6715
N 0.2471 0.9452 0.1715
N 0.7529 0.0548 0.8285
N 0.7529 0.4452 0.3285
Cl 0.0083 0.1630 0.1611
Cl 0.0083 0.3370 0.6611
Cl 0.2025 0.1007 0.7381
Cl 0.2025 0.3993 0.2381
Cl 0.3931 0.1627 0.2940
Cl 0.3931 0.3373 0.7940
Cl 0.6069 0.6627 0.2060
Cl 0.6069 0.8373 0.7060
Cl 0.7975 0.6007 0.7619
Cl 0.7975 0.8993 0.2619
Cl 0.9917 0.6630 0.3389
Cl 0.9917 0.8370 0.8389

***

Record 4
Starting from a DFT-relaxed cell (PBE, Alexandria), the X-ray powder pattern of CdH4CN2Cl2O was computed for Cu Kα (λ = 1.5418 Å).

Main lines, sorted by position (10° ≤ 2θ ≤ 80°):
2θ 11.26, rel. 58
2θ 12.25, rel. 100
2θ 17.60, rel. 23
2θ 23.44, rel. 21
2θ 26.26, rel. 18
2θ 26.52, rel. 23
2θ 26.75, rel. 30
2θ 32.51, rel. 23
2θ 32.62, rel. 28
2θ 34.30, rel. 18

Cell and atoms:
Cell: 3.8692 8.2514 10.6402 Å, 73.05 79.88 81.80°
Atoms (fractional coordinates):
Cd 0.2076 0.3845 0.1767
Cd 0.7924 0.6155 0.8233
H 0.0647 0.8539 0.5069
H 0.3029 0.7154 0.4181
H 0.4176 0.9644 0.8663
H 0.4363 0.1831 0.7972
H 0.5637 0.8169 0.2028
H 0.5824 0.0356 0.1337
H 0.6971 0.2846 0.5819
H 0.9353 0.1461 0.4931
C 0.2842 0.9690 0.3162
C 0.7158 0.0310 0.6838
N 0.1968 0.8350 0.4192
N 0.4688 0.9381 0.2039
N 0.5312 0.0619 0.7961
N 0.8032 0.1650 0.5808
Cl 0.1957 0.6943 0.9774
Cl 0.3866 0.5036 0.7018
Cl 0.6134 0.4964 0.2982
Cl 0.8043 0.3057 0.0226
O 0.1839 0.1205 0.3253
O 0.8161 0.8795 0.6747

***

Record 5
Starting from a DFT-relaxed cell (PBE, Alexandria), the X-ray powder pattern of La6Cd2CoC was computed for Cu Kα (λ = 1.5418 Å).

Main lines, sorted by position (10° ≤ 2θ ≤ 80°):
2θ 27.87, rel. 21
2θ 28.29, rel. 25
2θ 28.96, rel. 46
2θ 29.18, rel. 100
2θ 29.48, rel. 60
2θ 33.41, rel. 54
2θ 33.77, rel. 45
2θ 34.34, rel. 36
2θ 48.57, rel. 37
2θ 50.65, rel. 17

Cell and atoms:
Cell: 7.3955 7.4809 7.4941 Å, 91.53 119.50 118.62°
Atoms (fractional coordinates):
La 0.0152 0.2921 0.3114
La 0.4143 0.1858 0.2424
La 0.4789 0.6996 0.2164
La 0.5211 0.3004 0.7836
La 0.5857 0.8142 0.7576
La 0.9848 0.7079 0.6886
Cd 0.0005 0.2580 0.7546
Cd 0.9995 0.7420 0.2454
Co 0.5000 0.0000 0.0000
C 0.5000 0.5000 0.5000

***

Record 6
Starting from a DFT-relaxed cell (PBE, Alexandria), the X-ray powder pattern of Tb2CdCoC was computed for Cu Kα (λ = 1.5418 Å).

Main lines, sorted by position (10° ≤ 2θ ≤ 80°):
2θ 24.21, rel. 6
2θ 24.64, rel. 8
2θ 34.81, rel. 100
2θ 35.12, rel. 53
2θ 49.60, rel. 10
2θ 50.51, rel. 19
2θ 62.22, rel. 20
2θ 62.81, rel. 36
2θ 73.50, rel. 12
2θ 74.23, rel. 6

Cell and atoms:
Cell: 5.1106 5.1106 3.6759 Å, 90.00 90.00 90.00°
Atoms (fractional coordinates):
Tb 0.0000 0.5000 0.0000
Tb 0.5000 0.0000 0.0000
Cd 0.0000 0.0000 0.5000
Co 0.5000 0.5000 0.5000
C 0.5000 0.5000 0.0000

***

Record 7
Starting from a DFT-relaxed cell (PBE, Alexandria), the X-ray powder pattern of CdCuC2 was computed for Cu Kα (λ = 1.5418 Å).

Main lines, sorted by position (10° ≤ 2θ ≤ 80°):
2θ 20.40, rel. 7
2θ 32.21, rel. 100
2θ 36.27, rel. 29
2θ 39.49, rel. 11
2θ 52.23, rel. 13
2θ 54.69, rel. 24
2θ 62.71, rel. 27
2θ 67.07, rel. 11
2θ 67.40, rel. 9
2θ 77.00, rel. 4

Cell and atoms:
Cell: 5.7533 5.7533 5.7533 Å, 129.00 129.00 75.01°
Atoms (fractional coordinates):
Cd 0.0000 0.0000 0.0000
Cd 0.7500 0.2500 0.5000
Cu 0.2500 0.7500 0.5000
Cu 0.5000 0.5000 0.0000
C 0.1945 0.6250 0.0695
C 0.3750 0.4445 0.5695
C 0.5555 0.1250 0.9305
C 0.8750 0.8055 0.4305